GdEr3Pb2C2: calculated powder diffraction line list (Cu Ka), based on the PBE geometry in OQMD.

Structural model:
```
data_GdEr3Pb2C2
_chemical_formula_sum 'Gd1 Er3 Pb2 C2'
_cell_length_a 3.6248
_cell_length_b 3.6248
_cell_length_c 16.0648
_cell_angle_alpha 90.00
_cell_angle_beta 90.00
_cell_angle_gamma 120.00
_symmetry_space_group_name_H-M 'P 3 m 1'
_symmetry_Int_Tables_number 156
loop_
_symmetry_equiv_pos_as_xyz
'x,y,z'
'-y,x-y,z'
'-x+y,-x,z'
'-y,-x,z'
'-x+y,y,z'
'x,x-y,z'
loop_
_atom_site_label
_atom_site_type_symbol
_atom_site_fract_x
_atom_site_fract_y
_atom_site_fract_z
Gd1 Gd 0.0000 0.0000 0.0000
Er1 Er 0.0000 0.0000 0.6636
Er2 Er 0.6667 0.3333 0.1666
Er3 Er 0.6667 0.3333 0.5007
Pb1 Pb 0.0000 0.0000 0.3336
Pb2 Pb 0.6667 0.3333 0.8296
C1 C 0.3333 0.6667 0.0854
C2 C 0.3333 0.6667 0.5821
```

The 10 most intense peaks (2θ from 10° to 80°), in order of rising 2θ:
- 2θ = 28.43°, d 3.139, intensity 23
- 2θ = 33.08°, d 2.708, intensity 100
- 2θ = 33.47°, d 2.677, intensity 21
- 2θ = 44.47°, d 2.037, intensity 16
- 2θ = 50.35°, d 1.812, intensity 21
- 2θ = 58.83°, d 1.570, intensity 3
- 2θ = 59.58°, d 1.552, intensity 19
- 2θ = 61.57°, d 1.506, intensity 17
- 2θ = 61.81°, d 1.501, intensity 22
- 2θ = 69.41°, d 1.354, intensity 4